Structure and calculated PXRD pattern of SrCaHfSnO6 (the PBE geometry in the Materials Project; Cu Kα (weighted mean of Kα1 and Kα2)).
Lines closer than 0.1° are merged.

```
SrCaHfSnO6
1.0
0.0000 4.1031 4.1031
4.1031 0.0000 4.1031
4.1031 4.1031 0.0000
Sr Ca Hf Sn O
1 1 1 1 6
direct
0.0000 0.0000 0.0000 Sr
0.5000 0.5000 0.5000 Ca
0.2500 0.2500 0.2500 Hf
0.7500 0.7500 0.7500 Sn
0.9999 0.9999 0.5001 O
0.9999 0.5001 0.9999 O
0.9999 0.5001 0.5001 O
0.5001 0.9999 0.9999 O
0.5001 0.9999 0.5001 O
0.5001 0.5001 0.9999 O
```

Largest 8 diffraction maxima, by angle, 2θ from 10° to 90°:
| d (Å) | 2θ (°) | I (rel.) |
| --- | --- | --- |
| 4.103 | 21.7 | 30.9 |
| 2.901 | 30.8 | 100.0 |
| 2.052 | 44.1 | 32.6 |
| 1.835 | 49.7 | 13.8 |
| 1.675 | 54.8 | 40.7 |
| 1.451 | 64.2 | 20.1 |
| 1.298 | 72.9 | 17.9 |
| 1.097 | 89.3 | 22.5 |



Structure and calculated PXRD pattern of BaLaEuSbO6 (the PBE geometry in the Materials Project; Cu Kα (weighted mean of Kα1 and Kα2)).
Lines closer than 0.1° are merged.

```
BaLaEuSbO6
1.0
6.0669 0.0000 0.0000
-0.0061 6.1172 0.0000
-0.0700 -0.0591 8.6227
Ba La Eu Sb O
2 2 2 2 12
direct
0.0057 0.0265 0.2503 Ba
0.9943 0.9735 0.7497 Ba
0.0000 0.5000 0.5000 La
0.5000 0.0000 0.0000 La
0.4911 0.5367 0.2527 Eu
0.5089 0.4633 0.7473 Eu
0.0000 0.5000 0.0000 Sb
0.5000 0.0000 0.5000 Sb
0.0966 0.5048 0.7724 O
0.1970 0.7621 0.0413 O
0.2341 0.8033 0.4719 O
0.2632 0.3062 0.0528 O
0.3152 0.2715 0.4514 O
0.4372 0.0461 0.7287 O
0.5628 0.9539 0.2713 O
0.6848 0.7285 0.5486 O
0.7368 0.6938 0.9472 O
0.7659 0.1967 0.5281 O
0.8030 0.2379 0.9587 O
0.9034 0.4952 0.2276 O
```

Largest 8 diffraction maxima, by angle, 2θ from 10° to 90°:
| d (Å) | 2θ (°) | I (rel.) |
| --- | --- | --- |
| 3.061 | 29.2 | 95.7 |
| 3.048 | 29.3 | 100.0 |
| 3.032 | 29.5 | 94.9 |
| 2.154 | 41.9 | 74.6 |
| 1.768 | 51.7 | 28.7 |
| 1.763 | 51.9 | 20.0 |
| 1.758 | 52.0 | 30.2 |
| 1.751 | 52.3 | 21.0 |



Structure and calculated PXRD pattern of Al13Cu3S24 (the PBE geometry in the Materials Project; Cu Kα (weighted mean of Kα1 and Kα2)).
Lines closer than 0.1° are merged.

```
Al13Cu3S24
1.0
6.0650 -3.5287 0.0000
6.0650 3.5287 0.0000
-0.0740 0.0000 17.2609
Al Cu S
13 3 24
direct
0.0000 0.0000 0.0000 Al
0.0028 0.0028 0.3881 Al
0.1758 0.1758 0.1765 Al
0.1756 0.6580 0.1762 Al
0.3292 0.3292 0.7142 Al
0.3291 0.8409 0.8397 Al
0.5043 0.9994 0.5031 Al
0.5052 0.5052 0.5032 Al
0.6580 0.1756 0.1762 Al
0.6669 0.6669 0.0452 Al
0.6733 0.6733 0.6713 Al
0.8409 0.3291 0.8397 Al
0.9994 0.5043 0.5031 Al
0.0028 0.0028 0.6331 Cu
0.3400 0.3400 0.9621 Cu
0.6702 0.6702 0.2942 Cu
0.0029 0.0029 0.2490 S
0.0065 0.0065 0.7619 S
0.0213 0.4942 0.2536 S
0.1602 0.1602 0.9209 S
0.1633 0.6879 0.9198 S
0.1794 0.6500 0.4254 S
0.1799 0.1799 0.4256 S
0.3122 0.8489 0.0922 S
0.3361 0.3361 0.0964 S
0.3370 0.3370 0.5809 S
0.3584 0.8246 0.5868 S
0.4942 0.0213 0.2536 S
0.4936 0.4936 0.2535 S
0.5124 0.5124 0.7582 S
0.5117 0.9825 0.7582 S
0.6500 0.1794 0.4254 S
0.6681 0.6681 0.9154 S
0.6696 0.6696 0.4284 S
0.6879 0.1633 0.9198 S
0.8246 0.3584 0.5868 S
0.8269 0.8269 0.5855 S
0.8469 0.8469 0.0916 S
0.8489 0.3122 0.0922 S
0.9825 0.5117 0.7582 S
```

Largest 8 diffraction maxima, by angle, 2θ from 10° to 90°:
| d (Å) | 2θ (°) | I (rel.) |
| --- | --- | --- |
| 3.527 | 25.3 | 35.6 |
| 3.509 | 25.4 | 44.5 |
| 3.004 | 29.7 | 100.0 |
| 2.877 | 31.1 | 76.1 |
| 2.488 | 36.1 | 65.7 |
| 2.486 | 36.1 | 32.8 |
| 1.764 | 51.8 | 97.0 |
| 1.754 | 52.1 | 95.2 |



Structure and calculated PXRD pattern of Sm2Fe15Co2 (the PBE geometry in the Materials Project; Cu Kα (weighted mean of Kα1 and Kα2)).
Lines closer than 0.1° are merged.

```
Sm2Fe15Co2
1.0
4.8378 -4.2544 0.0000
4.8378 4.2544 0.0000
-1.1273 0.0000 6.3248
Sm Fe Co
2 15 2
direct
0.0000 0.0000 0.0000 Sm
0.6825 0.6825 0.3161 Sm
0.0469 0.3402 0.3649 Fe
0.0519 0.6316 0.6584 Fe
0.1824 0.6825 0.3161 Fe
0.2448 0.2448 0.7531 Fe
0.3402 0.0469 0.3649 Fe
0.3408 0.3408 0.1580 Fe
0.3423 0.6335 0.9516 Fe
0.3426 0.8402 0.6583 Fe
0.4368 0.4368 0.5619 Fe
0.6316 0.0519 0.6584 Fe
0.6335 0.3423 0.9516 Fe
0.6825 0.1824 0.3161 Fe
0.6849 0.6849 0.8194 Fe
0.8402 0.3426 0.6583 Fe
0.9993 0.9993 0.5044 Fe
0.0023 0.4974 0.9989 Co
0.4974 0.0023 0.9989 Co
```

Largest 8 diffraction maxima, by angle, 2θ from 10° to 90°:
| d (Å) | 2θ (°) | I (rel.) |
| --- | --- | --- |
| 2.975 | 30.0 | 53.3 |
| 2.453 | 36.6 | 36.4 |
| 2.383 | 37.8 | 34.8 |
| 2.127 | 42.5 | 28.5 |
| 2.118 | 42.7 | 100.0 |
| 2.113 | 42.8 | 67.6 |
| 2.108 | 42.9 | 23.0 |
| 2.086 | 43.4 | 44.7 |



Structure and calculated PXRD pattern of LiDyF2 (the PBE geometry in the Materials Project; Cu Kα (weighted mean of Kα1 and Kα2)).
Lines closer than 0.1° are merged.

```
LiDyF2
1.0
-3.2232 3.2232 6.4327
3.2232 -3.2232 6.4327
3.2232 3.2232 -6.4327
Li Dy F
4 4 8
direct
0.0000 0.0000 0.0000 Li
0.0000 0.0000 0.5000 Li
0.0000 0.5000 0.0000 Li
0.5000 0.0000 0.5000 Li
0.0000 0.5000 0.5000 Dy
0.5000 0.0000 0.0000 Dy
0.5000 0.5000 0.0000 Dy
0.5000 0.5000 0.5000 Dy
0.1961 0.6827 0.5133 F
0.3173 0.3306 0.5133 F
0.3173 0.8039 0.9867 F
0.3306 0.3173 0.0133 F
0.6694 0.6827 0.9867 F
0.6827 0.1961 0.0133 F
0.6827 0.6694 0.4867 F
0.8039 0.3173 0.4867 F
```

Largest 8 diffraction maxima, by angle, 2θ from 10° to 90°:
| d (Å) | 2θ (°) | I (rel.) |
| --- | --- | --- |
| 5.763 | 15.4 | 100.0 |
| 3.216 | 27.7 | 20.7 |
| 2.882 | 31.0 | 46.3 |
| 2.813 | 31.8 | 32.1 |
| 2.391 | 37.6 | 22.5 |
| 2.279 | 39.5 | 26.0 |
| 1.860 | 49.0 | 17.7 |
| 1.785 | 51.2 | 22.6 |



Structure and calculated PXRD pattern of SrNdCuS3 (the PBE geometry in the Materials Project; Cu Kα (weighted mean of Kα1 and Kα2)).
Lines closer than 0.1° are merged.

```
SrNdCuS3
1.0
10.6761 0.0000 0.0000
0.0000 4.0206 0.0000
0.0000 0.0000 12.9941
Sr Nd Cu S
4 4 4 12
direct
0.2120 0.2500 0.0028 Sr
0.2880 0.7500 0.5028 Sr
0.7120 0.2500 0.4972 Sr
0.7880 0.7500 0.9972 Sr
0.0171 0.7500 0.2673 Nd
0.4829 0.2500 0.7673 Nd
0.5171 0.7500 0.2327 Nd
0.9829 0.2500 0.7327 Nd
0.2329 0.7500 0.7780 Cu
0.2671 0.2500 0.2780 Cu
0.7329 0.7500 0.7220 Cu
0.7671 0.2500 0.2220 Cu
0.0518 0.7500 0.8800 S
0.1058 0.2500 0.3990 S
0.2410 0.2500 0.6741 S
0.2590 0.7500 0.1741 S
0.3942 0.7500 0.8990 S
0.4482 0.2500 0.3800 S
0.5518 0.7500 0.6200 S
0.6058 0.2500 0.1010 S
0.7410 0.2500 0.8259 S
0.7590 0.7500 0.3259 S
0.8942 0.7500 0.6010 S
0.9482 0.2500 0.1200 S
```

Largest 8 diffraction maxima, by angle, 2θ from 10° to 90°:
| d (Å) | 2θ (°) | I (rel.) |
| --- | --- | --- |
| 6.497 | 13.6 | 84.3 |
| 4.124 | 21.5 | 61.3 |
| 3.250 | 27.4 | 48.5 |
| 3.118 | 28.6 | 100.0 |
| 2.841 | 31.5 | 77.0 |
| 2.580 | 34.8 | 99.6 |
| 2.020 | 44.9 | 47.3 |
| 2.009 | 45.1 | 62.9 |



Structure and calculated PXRD pattern of SrCuO2 (the PBE geometry in the Materials Project; Cu Kα (weighted mean of Kα1 and Kα2)).
Lines closer than 0.1° are merged.

```
SrCuO2
1.0
3.9478 0.0000 0.0000
0.0000 3.9478 0.0000
0.0000 0.0000 3.4850
Sr Cu O
1 1 2
direct
0.0000 0.0000 0.0000 Sr
0.5000 0.5000 0.5000 Cu
0.0000 0.5000 0.5000 O
0.5000 0.0000 0.5000 O
```

Largest 8 diffraction maxima, by angle, 2θ from 10° to 90°:
| d (Å) | 2θ (°) | I (rel.) |
| --- | --- | --- |
| 2.792 | 32.1 | 36.9 |
| 2.613 | 34.3 | 100.0 |
| 1.974 | 46.0 | 30.6 |
| 1.742 | 52.5 | 10.0 |
| 1.575 | 58.6 | 40.5 |
| 1.478 | 62.9 | 11.3 |
| 1.396 | 67.1 | 9.0 |
| 1.306 | 72.3 | 14.2 |



Structure and calculated PXRD pattern of TbSi2 (the PBE geometry in the Materials Project; Cu Kα (weighted mean of Kα1 and Kα2)).
Lines closer than 0.1° are merged.

```
TbSi2
1.0
4.0898 0.0000 0.0000
-2.0449 3.5419 0.0000
0.0000 0.0000 3.9974
Tb Si
1 2
direct
0.0000 0.0000 0.0000 Tb
0.3333 0.6667 0.5000 Si
0.6667 0.3333 0.5000 Si
```

Largest 8 diffraction maxima, by angle, 2θ from 10° to 90°:
| d (Å) | 2θ (°) | I (rel.) |
| --- | --- | --- |
| 3.997 | 22.2 | 12.9 |
| 3.542 | 25.1 | 50.2 |
| 2.651 | 33.8 | 100.0 |
| 2.045 | 44.3 | 31.1 |
| 1.741 | 52.6 | 14.0 |
| 1.619 | 56.9 | 22.4 |
| 1.429 | 65.3 | 19.5 |
| 1.269 | 74.8 | 20.0 |



Structure and calculated PXRD pattern of NaNbO3 (the PBE geometry in the Materials Project; Cu Kα (weighted mean of Kα1 and Kα2)).
Lines closer than 0.1° are merged.

```
NaNbO3
1.0
7.8434 0.0000 0.0000
0.0000 5.6210 0.0000
0.0000 0.0000 5.6981
Na Nb O
4 4 12
direct
0.0000 0.2346 0.0000 Na
0.0000 0.7654 0.5000 Na
0.5000 0.2407 0.9793 Na
0.5000 0.7593 0.4793 Na
0.2505 0.2569 0.4973 Nb
0.2505 0.7431 0.9973 Nb
0.7495 0.2569 0.4973 Nb
0.7495 0.7431 0.9973 Nb
0.0000 0.1881 0.5327 O
0.0000 0.8119 0.0327 O
0.2196 0.4611 0.8206 O
0.2196 0.5389 0.3206 O
0.2827 0.0408 0.2460 O
0.2827 0.9592 0.7460 O
0.5000 0.3126 0.5526 O
0.5000 0.6874 0.0526 O
0.7173 0.0408 0.2460 O
0.7173 0.9592 0.7460 O
0.7804 0.4611 0.8206 O
0.7804 0.5389 0.3206 O
```

Largest 8 diffraction maxima, by angle, 2θ from 10° to 90°:
| d (Å) | 2θ (°) | I (rel.) |
| --- | --- | --- |
| 4.002 | 22.2 | 87.3 |
| 3.922 | 22.7 | 42.5 |
| 2.849 | 31.4 | 28.1 |
| 2.811 | 31.8 | 24.5 |
| 2.801 | 32.0 | 100.0 |
| 2.001 | 45.3 | 39.1 |
| 1.781 | 51.3 | 24.2 |
| 1.621 | 56.8 | 23.6 |